Record 1
Starting from the PBE geometry in Alexandria, the powder XRD pattern of Y4Ho3Tm was calculated for CuKα.
Lines closer than 0.1° are merged.

Crystal structure
```
Y4Ho3Tm
1.0
11.2136 0.0000 0.0000
0.0000 7.2585 0.0000
0.0000 0.0000 6.2693
Y Ho Tm
8 6 2
direct
0.0000 0.1268 0.0000
0.0000 0.8731 0.4995
0.2503 0.1269 0.3365
0.2497 0.8731 0.8365
0.5000 0.1269 0.9995
0.5000 0.8732 0.5000
0.7497 0.1269 0.3365
0.7503 0.8731 0.8365
0.0000 0.3768 0.5024
0.2499 0.3771 0.8330
0.2501 0.6229 0.3330
0.5000 0.6232 0.0024
0.7501 0.3771 0.8330
0.7499 0.6229 0.3330
0.0000 0.6232 0.0025
0.5000 0.3768 0.5025
```

Principal peaks in the range 2θ = 10–80°, in order of falling intensity:
2theta, I_rel
32.7, 100
28.4, 24
31.9, 24
60.9, 22
57.4, 20
43.3, 17
50.4, 13
61.3, 11
12.2, 9
50.3, 7

---

Record 2
Starting from the PBE geometry in Alexandria, the powder XRD pattern of Tb5NdHg3 was calculated for CuKα.
Lines closer than 0.1° are merged.

Crystal structure
```
Tb5NdHg3
1.0
9.1523 0.0000 0.0000
-4.5762 7.9261 0.0000
0.0000 0.0000 6.9971
Tb Nd Hg
10 2 6
direct
0.0000 0.3307 0.2500
0.0000 0.6693 0.7500
0.3307 0.0000 0.2500
0.3307 0.3307 0.7500
0.3333 0.6667 0.0000
0.3333 0.6667 0.5000
0.6667 0.3333 0.0000
0.6667 0.3333 0.5000
0.6693 0.0000 0.7500
0.6693 0.6693 0.2500
0.0000 0.0000 0.0000
0.0000 0.0000 0.5000
0.0000 0.3396 0.7500
0.0000 0.6604 0.2500
0.3396 0.0000 0.7500
0.3396 0.3396 0.2500
0.6604 0.0000 0.2500
0.6604 0.6604 0.7500
```

Principal peaks in the range 2θ = 10–80°, in order of falling intensity:
2theta, I_rel
33.9, 100
32.2, 97
59.6, 34
47.5, 33
63.8, 33
60.7, 19
42.9, 17
71.4, 12
25.5, 11
52.3, 10

---

- What is the formula in the first record?
  Y4Ho3Tm

---

- Which formula does entry 1 have?
  Y4Ho3Tm